[1]
ZnNi2P2O10: calculated powder diffraction line list (Cu Ka), based on a crystal structure in the Materials Project, relaxed with PBE+U.
Lines closer than 0.1° are merged.

Structural model:
Cell lengths 9.9784, 9.0327, 6.4786 Å; angles 78.17, 62.37, 39.46 degrees
Fractional positions:
1 Zn 0.1250 0.1250 0.1250
2 Zn 0.8750 0.8750 0.8750
3 Ni 0.0000 0.5000 0.5000
4 Ni 0.5000 0.0000 0.5000
5 Ni 0.5000 0.5000 0.0000
6 Ni 0.5000 0.5000 0.5000
7 P 0.0813 0.0813 0.6687
8 P 0.3313 0.3313 0.9187
9 P 0.6687 0.6687 0.0813
10 P 0.9187 0.9187 0.3313
11 O 0.0562 0.2167 0.4668
12 O 0.1121 0.4369 0.1640
13 O 0.1640 0.7870 0.1121
14 O 0.2130 0.8360 0.5631
15 O 0.2167 0.0562 0.7603
16 O 0.2397 0.5332 0.7833
17 O 0.2984 0.2984 0.4516
18 O 0.4369 0.1121 0.7870
19 O 0.4516 0.4516 0.2984
20 O 0.4668 0.7603 0.0562
21 O 0.5332 0.2397 0.9438
22 O 0.5484 0.5484 0.7016
23 O 0.5631 0.8879 0.2130
24 O 0.7016 0.7016 0.5484
25 O 0.7603 0.4668 0.2167
26 O 0.7833 0.9438 0.2397
27 O 0.7870 0.1640 0.4369
28 O 0.8360 0.2130 0.8879
29 O 0.8879 0.5631 0.8360
30 O 0.9438 0.7833 0.5332

Main lines, sorted by position (2θ from 15° to 90°):
2θ/deg	d [Å]	Rel. int.
22.0	4.032	41
28.1	3.170	61
30.5	2.927	32
30.8	2.899	100
32.1	2.793	23
32.4	2.762	41
37.5	2.396	31
54.5	1.684	24

[2]
LiMg14CoO16: calculated powder diffraction line list (Cu Ka), based on a crystal structure in the Materials Project, relaxed with PBE+U.
Lines closer than 0.1° are merged.

Structural model:
Cell lengths 8.4806, 8.4806, 4.2553 Å; angles 90.00, 90.00, 90.00 degrees
Fractional positions:
1 Li 0.0000 0.0000 0.0000
2 Mg 0.0000 0.2431 0.5000
3 Mg 0.0000 0.5000 0.0000
4 Mg 0.0000 0.7569 0.5000
5 Mg 0.2431 0.0000 0.5000
6 Mg 0.2440 0.2440 0.0000
7 Mg 0.2440 0.7560 0.0000
8 Mg 0.2494 0.5000 0.5000
9 Mg 0.5000 0.0000 0.0000
10 Mg 0.5000 0.2494 0.5000
11 Mg 0.5000 0.7506 0.5000
12 Mg 0.7506 0.5000 0.5000
13 Mg 0.7560 0.2440 0.0000
14 Mg 0.7560 0.7560 0.0000
15 Mg 0.7569 0.0000 0.5000
16 Co 0.5000 0.5000 0.0000
17 O 0.0000 0.0000 0.5000
18 O 0.0000 0.2607 0.0000
19 O 0.0000 0.5000 0.5000
20 O 0.0000 0.7393 0.0000
21 O 0.2516 0.2516 0.5000
22 O 0.2516 0.7484 0.5000
23 O 0.2607 0.0000 0.0000
24 O 0.2624 0.5000 0.0000
25 O 0.5000 0.0000 0.5000
26 O 0.5000 0.2624 0.0000
27 O 0.5000 0.5000 0.5000
28 O 0.5000 0.7376 0.0000
29 O 0.7376 0.5000 0.0000
30 O 0.7393 0.0000 0.0000
31 O 0.7484 0.2516 0.5000
32 O 0.7484 0.7484 0.5000

Main lines, sorted by position (2θ from 15° to 90°):
2θ/deg	d [Å]	Rel. int.
23.4	3.798	17
31.6	2.831	12
36.7	2.451	18
42.5	2.128	51
42.6	2.120	100
61.8	1.502	56
61.9	1.499	28
78.0	1.226	25

[3]
Mn6O5F7: calculated powder diffraction line list (Cu Ka), based on a crystal structure in the Materials Project, relaxed with PBE+U.
Lines closer than 0.1° are merged.

Structural model:
Cell lengths 4.7942, 5.7489, 7.9077 Å; angles 84.67, 87.06, 84.79 degrees
Fractional positions:
1 Mn 0.0000 0.0000 0.0000
2 Mn 0.0019 0.3469 0.6642
3 Mn 0.4806 0.1822 0.3430
4 Mn 0.5206 0.8407 0.6424
5 Mn 0.5383 0.5347 0.0059
6 Mn 0.9939 0.6722 0.3177
7 O 0.3038 0.1387 0.5669
8 O 0.3084 0.4744 0.2327
9 O 0.7004 0.8873 0.4225
10 O 0.7092 0.5543 0.7564
11 O 0.8351 0.7287 0.0922
12 F 0.1807 0.2898 0.9048
13 F 0.1830 0.6380 0.5461
14 F 0.2136 0.9788 0.2119
15 F 0.3127 0.8164 0.8691
16 F 0.6971 0.2078 0.1156
17 F 0.8046 0.0558 0.7758
18 F 0.8069 0.3749 0.4367

Main lines, sorted by position (2θ from 15° to 90°):
2θ/deg	d [Å]	Rel. int.
24.9	3.575	100
27.6	3.235	80
34.2	2.622	40
34.4	2.607	22
34.6	2.590	21
50.1	1.820	45
50.6	1.803	16
59.4	1.556	18

[4]
Mn2ZnO4: calculated powder diffraction line list (Cu Ka), based on a crystal structure in the Materials Project, relaxed with PBE+U.
Lines closer than 0.1° are merged.

Structural model:
Cell lengths 6.2274, 6.2274, 14.9310 Å; angles 95.16, 95.16, 56.17 degrees
Fractional positions:
1 Mn 0.0000 0.0000 0.0000
2 Mn 0.0007 0.0007 0.3772
3 Mn 0.0059 0.5064 0.4993
4 Mn 0.1642 0.6631 0.1668
5 Mn 0.1661 0.1661 0.1661
6 Mn 0.3346 0.8347 0.8333
7 Mn 0.5029 0.5029 0.5015
8 Mn 0.5064 0.0059 0.4993
9 Mn 0.6631 0.1642 0.1668
10 Mn 0.6705 0.6705 0.6669
11 Mn 0.8347 0.3346 0.8333
12 Mn 0.8347 0.8347 0.8337
13 Zn 0.0045 0.0045 0.6239
14 Zn 0.3342 0.3342 0.3322
15 Zn 0.3344 0.3344 0.9578
16 Zn 0.3349 0.3349 0.7094
17 Zn 0.6665 0.6665 0.0432
18 Zn 0.6673 0.6673 0.2872
19 O 0.0079 0.0079 0.7593
20 O 0.0196 0.4830 0.2413
21 O 0.1457 0.6960 0.9144
22 O 0.1563 0.1563 0.9094
23 O 0.1825 0.1825 0.4260
24 O 0.1858 0.6446 0.4270
25 O 0.3032 0.8534 0.0840
26 O 0.3312 0.3312 0.5749
27 O 0.3373 0.3373 0.0922
28 O 0.3682 0.8191 0.5817
29 O 0.4830 0.0196 0.2413
30 O 0.4870 0.4870 0.2427
31 O 0.5135 0.5135 0.7564
32 O 0.5245 0.9732 0.7520
33 O 0.6446 0.1858 0.4270
34 O 0.6617 0.6617 0.9069
35 O 0.6742 0.6742 0.4261
36 O 0.6960 0.1457 0.9144
37 O 0.8191 0.3682 0.5817
38 O 0.8248 0.8248 0.5770
39 O 0.8456 0.8456 0.0887
40 O 0.8534 0.3032 0.0840
41 O 0.9732 0.5245 0.7520
42 O 0.9956 0.9956 0.2384

Main lines, sorted by position (2θ from 15° to 90°):
2θ/deg	d [Å]	Rel. int.
28.9	3.091	41
30.5	2.934	18
32.8	2.734	51
35.6	2.525	100
57.5	1.603	31
59.8	1.547	26
59.9	1.543	26
63.4	1.467	21

[5]
Li2Fe3SnO8: calculated powder diffraction line list (Cu Ka), based on a crystal structure in the Materials Project, relaxed with PBE+U.
Lines closer than 0.1° are merged.

Structural model:
Cell lengths 6.0164, 6.1602, 8.6002 Å; angles 91.57, 90.08, 90.07 degrees
Fractional positions:
1 Li 0.2495 0.4967 0.1290
2 Li 0.2508 0.0031 0.3707
3 Li 0.7492 0.9969 0.6293
4 Li 0.7505 0.5033 0.8710
5 Fe 0.0000 0.0000 0.0000
6 Fe 0.0000 0.5000 0.5000
7 Fe 0.2491 0.7503 0.7506
8 Fe 0.5000 0.0000 0.0000
9 Fe 0.5000 0.5000 0.5000
10 Fe 0.7509 0.2497 0.2494
11 Sn 0.2512 0.2515 0.7508
12 Sn 0.7488 0.7485 0.2492
13 O 0.0160 0.9973 0.7698
14 O 0.0171 0.5037 0.7336
15 O 0.2322 0.7137 0.5108
16 O 0.2346 0.7858 0.9889
17 O 0.2531 0.2725 0.5082
18 O 0.2555 0.2288 0.9923
19 O 0.4752 0.9925 0.7600
20 O 0.4778 0.5074 0.7379
21 O 0.5222 0.4926 0.2621
22 O 0.5248 0.0075 0.2400
23 O 0.7445 0.7712 0.0077
24 O 0.7469 0.7275 0.4918
25 O 0.7654 0.2142 0.0111
26 O 0.7678 0.2863 0.4892
27 O 0.9829 0.4963 0.2664
28 O 0.9840 0.0027 0.2302

Main lines, sorted by position (2θ from 15° to 90°):
2θ/deg	d [Å]	Rel. int.
18.0	4.934	100
34.1	2.629	20
34.6	2.591	24
34.7	2.586	13
36.4	2.469	10
42.0	2.151	54
60.3	1.535	12
61.6	1.505	11

[6]
Er2CoTe2S2O14: calculated powder diffraction line list (Cu Ka), based on a crystal structure in the Materials Project, relaxed with PBE+U.
Lines closer than 0.1° are merged.

Structural model:
Cell lengths 5.2730, 7.8734, 8.1542 Å; angles 64.15, 73.15, 85.55 degrees
Fractional positions:
1 Er 0.0828 0.2527 0.0166
2 Er 0.9172 0.7473 0.9834
3 Co 0.0000 0.0000 0.5000
4 Te 0.4838 0.7256 0.6641
5 Te 0.5162 0.2744 0.3359
6 S 0.2361 0.7555 0.2473
7 S 0.7639 0.2445 0.7527
8 O 0.0998 0.5950 0.2512
9 O 0.1339 0.7720 0.4286
10 O 0.1764 0.9269 0.0859
11 O 0.2442 0.5602 0.8982
12 O 0.2468 0.9218 0.6705
13 O 0.2752 0.1930 0.2467
14 O 0.4737 0.2694 0.7886
15 O 0.5263 0.7306 0.2114
16 O 0.7248 0.8070 0.7533
17 O 0.7532 0.0782 0.3295
18 O 0.7558 0.4398 0.1018
19 O 0.8236 0.0731 0.9141
20 O 0.8661 0.2280 0.5714
21 O 0.9002 0.4050 0.7488

Main lines, sorted by position (2θ from 15° to 90°):
2θ/deg	d [Å]	Rel. int.
24.5	3.634	56
24.6	3.619	79
25.2	3.537	100
26.4	3.370	46
27.5	3.245	36
30.2	2.956	66
35.0	2.562	44
35.6	2.520	36

[7]
Mn12O7F17: calculated powder diffraction line list (Cu Ka), based on a crystal structure in the Materials Project, relaxed with PBE+U.
Lines closer than 0.1° are merged.

Structural model:
Cell lengths 4.7914, 5.8123, 15.8684 Å; angles 89.46, 89.91, 85.85 degrees
Fractional positions:
1 Mn 0.0000 0.0000 0.0000
2 Mn 0.0020 0.6421 0.8208
3 Mn 0.4465 0.4763 0.6495
4 Mn 0.4592 0.4738 0.3069
5 Mn 0.4655 0.1610 0.8229
6 Mn 0.4709 0.1582 0.1459
7 Mn 0.4773 0.4601 0.9824
8 Mn 0.4904 0.1621 0.4866
9 Mn 0.9644 0.9769 0.3281
10 Mn 0.9797 0.6558 0.4878
11 Mn 0.9856 0.6616 0.1524
12 Mn 0.9901 0.9546 0.6568
13 O 0.1933 0.6858 0.7131
14 O 0.2475 0.4218 0.1967
15 O 0.2579 0.4281 0.5392
16 O 0.2661 0.4251 0.8754
17 O 0.2904 0.2069 0.0385
18 O 0.7608 0.9263 0.4390
19 O 0.7694 0.9309 0.1029
20 F 0.2120 0.6930 0.3823
21 F 0.2130 0.9253 0.8840
22 F 0.2215 0.9141 0.2194
23 F 0.2289 0.7046 0.0487
24 F 0.2311 0.9259 0.5459
25 F 0.2457 0.1859 0.7123
26 F 0.2639 0.1955 0.3757
27 F 0.6976 0.1870 0.2536
28 F 0.6986 0.4230 0.7545
29 F 0.7109 0.1990 0.6010
30 F 0.7222 0.4185 0.4229
31 F 0.7349 0.1898 0.9209
32 F 0.7350 0.4384 0.0851
33 F 0.7418 0.9196 0.7706
34 F 0.7548 0.6970 0.5951
35 F 0.7600 0.6768 0.9271
36 F 0.7703 0.6887 0.2629

Main lines, sorted by position (2θ from 15° to 90°):
2θ/deg	d [Å]	Rel. int.
23.3	3.826	100
25.0	3.563	77
28.7	3.110	95
28.9	3.090	92
30.2	2.962	85
30.3	2.948	80
38.9	2.314	52
51.5	1.773	88